# 1
Theoretical X-ray diffraction stick pattern of Tb5Pr6Tm2 for Cu Kα (λ = 1.5418 Å), from a crystal structure in Alexandria, relaxed with PBE.

Main lines, low angle first (10° ≤ 2θ ≤ 90°):
2θ (°)	Rel. int.	(hkl)
30.79	45	4 1 0
30.99	100	1 7 0
31.38	15	3 5 0
31.70	94	2 3 1
33.74	33	2 4 1
36.15	34	3 3 1
50.20	18	0 0 2
51.15	12	1 10 1
60.04	16	4 1 2
60.19	16	1 7 2

Structural model:
```
data_Tb5Pr6Tm2
_cell_length_a 11.7310
_cell_length_b 20.8250
_cell_length_c 3.6346
_cell_angle_alpha 90.00
_cell_angle_beta 90.00
_cell_angle_gamma 90.00
_space_group_name_H-M_alt 'P b a m'
_space_group_IT_number 55
loop_
_space_group_symop_operation_xyz
'x,y,z'
'-x,-y,-z'
'-x,-y,z'
'x,y,-z'
'x+1/2,-y+1/2,-z'
'-x+1/2,y+1/2,z'
'-x+1/2,y+1/2,-z'
'x+1/2,-y+1/2,z'
loop_
_atom_site_label
_atom_site_fract_x
_atom_site_fract_y
_atom_site_fract_z
Tb1 0.0000 0.0000 0.0000
Tb2 0.0919 0.2723 0.0000
Tb3 0.1969 0.5563 0.0000
Pr1 0.0619 0.4189 0.5000
Pr2 0.0848 0.1320 0.5000
Pr3 0.1718 0.8624 0.0000
Tm1 0.1654 0.7092 0.5000
```

---

# 2
Theoretical X-ray diffraction stick pattern of Sc2CrNi for Cu Kα (λ = 1.5418 Å), from a crystal structure in Alexandria, relaxed with PBE.

Main lines, low angle first (10° ≤ 2θ ≤ 90°):
2θ (°)	Rel. int.	(hkl)
21.96	11	0 1 1
37.46	22	0 0 4
39.31	100	1 1 2
39.75	8	1 0 3
40.41	25	0 2 0
51.80	8	0 1 5
56.27	12	0 2 4
57.35	8	2 0 0
72.48	8	2 2 0
72.75	15	1 3 2

Structural model:
```
data_Sc2CrNi
_cell_length_a 3.2133
_cell_length_b 4.4643
_cell_length_c 9.6032
_cell_angle_alpha 90.00
_cell_angle_beta 90.00
_cell_angle_gamma 90.00
_space_group_name_H-M_alt 'I m m 2'
_space_group_IT_number 44
loop_
_space_group_symop_operation_xyz
'x,y,z'
'-x,-y,z'
'-x,y,z'
'x,-y,z'
'x+1/2,y+1/2,z+1/2'
'-x+1/2,-y+1/2,z+1/2'
'-x+1/2,y+1/2,z+1/2'
'x+1/2,-y+1/2,z+1/2'
loop_
_atom_site_label
_atom_site_fract_x
_atom_site_fract_y
_atom_site_fract_z
Sc1 0.0000 0.0000 0.0000
Sc2 0.0000 0.5000 0.2164
Cr1 0.0000 0.5000 0.7802
Ni1 0.0000 0.0000 0.4807
```

---

# 3
Theoretical X-ray diffraction stick pattern of PrEr12Al6 for Cu Kα (λ = 1.5418 Å), from a crystal structure in Alexandria, relaxed with PBE.

Main lines, low angle first (10° ≤ 2θ ≤ 90°):
2θ (°)	Rel. int.	(hkl)
22.35	27	2 0 2
27.86	48	1 1 3
28.94	100	1 3 1
33.79	49	3 0 3
34.70	15	3 2 1
35.03	22	0 4 2
40.42	16	3 3 0
42.33	28	5 0 2
50.45	15	3 1 5
56.16	18	3 5 1

Structural model:
```
data_PrEr12Al6
_cell_length_a 13.3891
_cell_length_b 13.3891
_cell_length_c 10.9398
_cell_angle_alpha 90.00
_cell_angle_beta 90.00
_cell_angle_gamma 120.00
_space_group_name_H-M_alt 'R -3 m'
_space_group_IT_number 166
_space_group_name_Hall '-R 3 2"'
loop_
_atom_site_label
_atom_site_fract_x
_atom_site_fract_y
_atom_site_fract_z
Pr1 0.0000 0.0000 0.0000
Er1 0.0000 0.3779 0.5000
Er2 0.0899 0.1798 0.3592
Al1 0.0292 0.5146 0.2710
```

---

# 4
Theoretical X-ray diffraction stick pattern of Zn2GaTe4 for Cu Kα (λ = 1.5418 Å), from a crystal structure in Alexandria, relaxed with PBE.

Main lines, low angle first (10° ≤ 2θ ≤ 90°):
2θ (°)	Rel. int.	(hkl)
25.73	100	1 1 1
29.34	9	2 0 0
41.97	23	2 2 0
42.98	42	2 0 2
49.89	30	3 1 1
51.65	13	1 1 3
60.86	7	4 0 0
68.66	10	3 1 3
77.38	13	4 2 2
82.46	6	5 1 1

Structural model:
```
data_Zn2GaTe4
_cell_length_a 6.0883
_cell_length_b 6.0883
_cell_length_c 5.8238
_cell_angle_alpha 90.00
_cell_angle_beta 90.00
_cell_angle_gamma 90.00
_space_group_name_H-M_alt 'P -4 2 m'
_space_group_IT_number 111
loop_
_space_group_symop_operation_xyz
'x,y,z'
'y,-x,-z'
'-x,-y,z'
'-y,x,-z'
'x,-y,-z'
'y,x,z'
'-x,y,-z'
'-y,-x,z'
loop_
_atom_site_label
_atom_site_fract_x
_atom_site_fract_y
_atom_site_fract_z
Zn1 0.0000 0.5000 0.0000
Ga1 0.0000 0.0000 0.5000
Te1 0.2660 0.2660 0.7313
```